Entry 1:
Calculated powder diffraction line list
Compound: LaMnAlNi3
Radiation: Cu Kα (weighted mean of Kα1 and Kα2)
Structure: a cell relaxed with PBE

Most intense lines, 2θ from 15° to 90°, in order of rising 2θ:
(1 0 1), 30.1 deg, I 78
(1 1 0), 34.3 deg, I 25
(2 0 0), 39.8 deg, I 59
(1 1 1), 41.5 deg, I 100
(0 0 2), 46.2 deg, I 35
(2 1 1), 58.8 deg, I 33
(2 0 2), 62.6 deg, I 30
(3 0 1), 66.3 deg, I 24
(2 2 0), 72.2 deg, I 19
(3 1 1), 80.1 deg, I 13

a b c (Å): 5.2354 5.2354 3.9272
angles (deg): 90.00 90.00 120.00
Space group P-6m2 (No. 187)
Asymmetric unit:
La 0.0000 0.0000 0.0000 (multiplicity 1)
Mn 0.6667 0.3333 0.0000 (multiplicity 1)
Al 0.3333 0.6667 0.0000 (multiplicity 1)
Ni 0.5005 0.0010 0.5000 (multiplicity 3)

Entry 2:
Calculated powder diffraction line list
Compound: La3MnAlS7
Radiation: Cu Kα (weighted mean of Kα1 and Kα2)
Structure: a cell relaxed with PBE

Most intense lines, 2θ from 15° to 90°, in order of rising 2θ:
(1 0 1), 17.8 deg, I 45
(1 1 1), 22.8 deg, I 36
(2 0 1), 24.9 deg, I 100
(1 2 0), 26.6 deg, I 46
(3 0 1), 33.7 deg, I 47
(2 2 0), 35.0 deg, I 37
(2 0 2), 36.0 deg, I 50
(3 1 1), 39.5 deg, I 49
(1 2 2), 40.2 deg, I 37
(1 4 1), 49.4 deg, I 32

a b c (Å): 10.2482 10.2482 6.0318
angles (deg): 90.00 90.00 120.00
Space group P6_3 (No. 173)
Asymmetric unit:
La 0.1400 0.3747 0.0000 (multiplicity 6)
Mn 0.0000 0.0000 0.2604 (multiplicity 2)
Al 0.3333 0.6667 0.4204 (multiplicity 2)
S 0.0889 0.2355 0.5241 (multiplicity 6)
S 0.1013 0.5814 0.2747 (multiplicity 6)
S 0.3333 0.6667 0.7898 (multiplicity 2)